# 1
Structure and computed XRD peak list of Ir2PtN2 (a structure optimized by DFT (PBE); Cu Kα).

Principal peaks in the range 2θ from 10° to 80°, by intensity:
2.458 Å, I = 100; 2.380 Å, I = 50; 1.389 Å, I = 34; 1.683 Å, I = 21; 1.818 Å, I = 16; 1.435 Å, I = 11; 1.235 Å, I = 9; 2.178 Å, I = 6; 5.399 Å, I = 6; 1.229 Å, I = 6

Structural model:
```
Ir2PtN2
1.0
-1.683 1.683 5.399
1.683 -1.683 5.399
1.683 1.683 -5.399
Ir Pt N
2 1 2
Cartesian
0.000 0.000 1.497 Ir
0.000 0.000 9.301 Ir
0.000 0.000 5.399 Pt
1.683 0.000 2.699 N
0.000 1.683 2.699 N
```

***

# 2
Structure and computed XRD peak list of Pm5Sm2 (a structure optimized by DFT (PBE); Cu Kα).

Principal peaks in the range 2θ from 10° to 80°, by intensity:
2.903 Å, I = 100; 2.892 Å, I = 99; 1.675 Å, I = 59; 2.049 Å, I = 37; 1.667 Å, I = 19; 1.297 Å, I = 17; 1.294 Å, I = 17; 1.452 Å, I = 12; 1.446 Å, I = 12

Structural model:
```
Pm5Sm2
1.0
2.903 1.676 8.248
-2.903 1.676 8.248
0.000 -3.352 8.248
Pm Sm
5 2
Cartesian
0.000 0.000 0.000 Pm
0.000 0.000 7.057 Pm
0.000 0.000 10.606 Pm
0.000 0.000 14.137 Pm
0.000 0.000 17.686 Pm
0.000 0.000 3.535 Sm
0.000 0.000 21.208 Sm
```